Entry 1:
Pd6PtAu3: computed powder diffractogram (λ = 1.5418 Å (Cu Kα)), based on the PBE geometry in Alexandria.
Lines closer than 0.1° are merged.

Peak list (8 most intense, 2θ = 5–70°, in order of rising 2θ)
hkl	2theta	I/Imax
0 2 2	37.45	25
1 1 3	38.43	100
0 0 10	38.69	72
1 1 4	39.82	89
1 1 -6	43.60	62
1 1 -7	45.93	62
2 0 0	65.77	15
1 3 1	66.02	26

Unit cell a=2.840 b=4.908 c=23.275 alpha=90.00 beta=90.11 gamma=90.00
Space group P2_1/c (No. 14)
Inequivalent atoms, fractional coordinates:
Pd  0.000  0.170  0.098 x4
Pd  0.499  0.168  0.696 x4
Pd  0.500  0.175  0.401 x4
Pt  0.500  0.000  0.000 x2
Au  0.000  0.000  0.500 x2
Au  0.000  0.167  0.800 x4



Entry 2:
Pd4PtAu5: computed powder diffractogram (λ = 1.5418 Å (Cu Kα)), based on the PBE geometry in Alexandria.
Lines closer than 0.1° are merged.

Peak list (8 most intense, 2θ = 5–70°, in order of rising 2θ)
hkl	2theta	I/Imax
1 1 0	21.82	9
0 2 -1	38.33	100
2 0 1	38.56	98
2 2 0	44.51	66
1 0 3	45.04	32
1 4 1	64.45	11
2 -2 2	65.13	32
3 2 3	65.21	21

Unit cell a=4.963 b=5.783 c=6.371 alpha=76.95 beta=75.22 gamma=73.05
Space group P-1 (No. 2)
Inequivalent atoms, fractional coordinates:
Pd  0.097  0.403  0.303 x2
Pd  0.300  0.203  0.900 x2
Pt  0.500  0.500  0.500 x1
Au  0.106  0.896  0.297 x2
Au  0.300  0.697  0.897 x2
Au  0.500  0.000  0.500 x1



Entry 3:
Pd3PtAu7: computed powder diffractogram (λ = 1.5418 Å (Cu Kα)), based on the PBE geometry in Alexandria.
Lines closer than 0.1° are merged.

Peak list (8 most intense, 2θ = 5–70°, in order of rising 2θ)
hkl	2theta	I/Imax
2 2 0	28.03	13
3 1 -1	29.22	13
3 1 0	33.47	18
2 0 -2	35.58	61
0 4 0	36.52	55
2 2 1	41.35	100
2 4 -2	51.90	41
2 6 1	69.02	21

Unit cell a=9.740 b=9.842 c=5.047 alpha=90.00 beta=121.03 gamma=90.00
Space group C2/m (No. 12)
Inequivalent atoms, fractional coordinates:
Pd  0.000  0.000  0.000 x2
Pd  0.000  0.234  0.500 x4
Pt  0.000  0.500  0.000 x2
Au  0.000  0.500  0.500 x2
Au  0.168  0.245  0.168 x8
Au  0.175  0.000  0.673 x4



> Which formula does entry 1 have?

Pd6PtAu3